Li2CoSiO4: simulated powder diffraction line list (Cu Kα), based on a crystal structure in OQMD, relaxed with GGA+U.
Kinematic intensities with the Lorentz-polarization factor, no thermal factor.

Crystal structure
```
32
Lattice="10.6669 0.0000 0.0000 0.0000 6.2202 0.0000 0.0000 0.0000 4.9232" Properties=species:S:1:pos:R:3 pbc="T T T"
Li 0.8503 1.5261 4.9213
Li 1.7354 0.0148 2.4616
Li 3.5981 3.1249 0.0000
Li 4.4831 4.6362 2.4597
Li 6.1838 1.5839 4.9213
Li 7.0688 3.0953 2.4616
Li 8.9315 6.2054 0.0000
Li 9.8166 4.6940 2.4597
Co 1.7647 3.0731 2.4764
Co 3.5688 6.1832 0.0148
Co 7.0981 0.0369 2.4764
Co 8.9023 3.1470 0.0148
Si 0.9149 4.6712 0.0363
Si 4.4185 1.5611 2.4979
Si 6.2484 4.6591 0.0363
Si 9.7520 1.5490 2.4979
O 0.6393 1.5374 1.9579
O 0.9456 4.6709 1.6818
O 1.6791 6.0249 4.4097
O 1.6954 3.3024 4.4544
O 3.6380 0.1923 1.9928
O 3.6544 2.9148 1.9481
O 4.3879 1.5608 4.1434
O 4.6942 4.6475 4.4195
O 5.9728 1.5727 1.9579
O 6.2790 4.6594 1.6818
O 7.0126 3.3054 4.4097
O 7.0289 6.0278 4.4544
O 8.9715 2.9178 1.9928
O 8.9878 0.1953 1.9481
O 9.7214 1.5493 4.1434
O 10.0276 4.6828 4.4195
```

Largest 12 diffraction maxima, by angle, 2θ from 10° to 90°:
| d_spacing | 2θ/deg | I/Imax |
| --- | --- | --- |
| 5.373 | 16.50 | 39 |
| 4.049 | 21.95 | 23 |
| 3.860 | 23.04 | 31 |
| 3.629 | 24.53 | 100 |
| 3.087 | 28.92 | 42 |
| 2.687 | 33.35 | 57 |
| 2.667 | 33.61 | 31 |
| 2.462 | 36.50 | 51 |
| 2.358 | 38.16 | 44 |
| 1.925 | 47.23 | 21 |
| 1.543 | 59.93 | 31 |
| 1.400 | 66.80 | 28 |